(1)
For KFe2AgCl8, a structure optimized by DFT (GGA-PBE) gives the theoretical X-ray diffraction stick pattern in this record (Cu Kα (weighted mean of Kα1 and Kα2)).
Neutral-atom scattering factors, no anomalous dispersion.

Most intense lines, 2θ from 5° to 70°, sorted by position:
| index | 2θ/deg | Rel. int. |
| --- | --- | --- |
| 1 0 0 | 14.04 | 18.1 |
| 1 0 1 | 17.37 | 100.0 |
| 1 1 0 | 24.45 | 41.4 |
| 1 0 2 | 24.88 | 21.8 |
| 2 0 1 | 30.15 | 11.0 |
| 1 1 2 | 32.07 | 16.1 |
| 0 1 3 | 34.06 | 12.4 |
| 2 0 2 | 35.17 | 35.5 |
| 2 1 1 | 39.19 | 23.4 |
| 2 1 2 | 43.30 | 10.1 |
| 2 2 0 | 50.11 | 21.4 |
| 0 2 4 | 51.05 | 11.7 |

Structural model:
```
KFe2AgCl8
1.0
7.282 0.000 0.000
-3.641 6.306 0.000
0.000 0.000 8.691
K Fe Ag Cl
1 2 1 8
Direct
0.000 0.000 0.000 K
0.333 0.667 0.214 Fe
0.667 0.333 0.786 Fe
0.000 0.000 0.500 Ag
0.166 0.333 0.296 Cl
0.166 0.834 0.296 Cl
0.333 0.166 0.704 Cl
0.333 0.667 0.963 Cl
0.667 0.333 0.037 Cl
0.667 0.834 0.296 Cl
0.834 0.166 0.704 Cl
0.834 0.667 0.704 Cl
```

=====

(2)
For Rb3Fe2AgCl8, a structure optimized by DFT (GGA-PBE) gives the theoretical X-ray diffraction stick pattern in this record (Cu Kα (weighted mean of Kα1 and Kα2)).
Neutral-atom scattering factors, no anomalous dispersion.

Most intense lines, 2θ from 5° to 70°, sorted by position:
| index | 2θ/deg | Rel. int. |
| --- | --- | --- |
| 0 0 1 | 9.49 | 18.8 |
| 0 1 2 | 23.68 | 48.1 |
| 1 1 0 | 24.28 | 100.0 |
| 0 2 1 | 29.73 | 19.2 |
| 1 1 2 | 31.04 | 18.2 |
| 0 1 3 | 32.08 | 22.2 |
| 2 0 2 | 34.17 | 62.1 |
| 1 2 2 | 42.36 | 21.0 |
| 3 0 0 | 42.72 | 21.4 |
| 1 2 3 | 47.90 | 13.3 |
| 0 2 4 | 48.46 | 18.3 |
| 2 2 0 | 49.74 | 32.3 |

Structural model:
```
Rb3Fe2AgCl8
1.0
7.333 0.000 0.000
-3.666 6.350 0.000
0.000 0.000 9.319
Rb Fe Ag Cl
3 2 1 8
Direct
0.000 0.000 0.000 Rb
0.333 0.667 0.630 Rb
0.667 0.333 0.370 Rb
0.333 0.667 0.211 Fe
0.667 0.333 0.789 Fe
0.000 0.000 0.500 Ag
0.167 0.335 0.313 Cl
0.167 0.833 0.313 Cl
0.333 0.667 0.971 Cl
0.335 0.167 0.687 Cl
0.665 0.833 0.313 Cl
0.667 0.333 0.029 Cl
0.833 0.167 0.687 Cl
0.833 0.665 0.687 Cl
```

=====

What did the first record say?
For KFe2AgCl8, a structure optimized by DFT (GGA-PBE) gives the theoretical X-ray diffraction stick pattern in this record (Cu Kα (weighted mean of Kα1 and Kα2)).
Neutral-atom scattering factors, no anomalous dispersion.

Most intense lines, 2θ from 5° to 70°, sorted by position:
| index | 2θ/deg | Rel. int. |
| --- | --- | --- |
| 1 0 0 | 14.04 | 18.1 |
| 1 0 1 | 17.37 | 100.0 |
| 1 1 0 | 24.45 | 41.4 |
| 1 0 2 | 24.88 | 21.8 |
| 2 0 1 | 30.15 | 11.0 |
| 1 1 2 | 32.07 | 16.1 |
| 0 1 3 | 34.06 | 12.4 |
| 2 0 2 | 35.17 | 35.5 |
| 2 1 1 | 39.19 | 23.4 |
| 2 1 2 | 43.30 | 10.1 |
| 2 2 0 | 50.11 | 21.4 |
| 0 2 4 | 51.05 | 11.7 |

Structural model:
```
KFe2AgCl8
1.0
7.282 0.000 0.000
-3.641 6.306 0.000
0.000 0.000 8.691
K Fe Ag Cl
1 2 1 8
Direct
0.000 0.000 0.000 K
0.333 0.667 0.214 Fe
0.667 0.333 0.786 Fe
0.000 0.000 0.500 Ag
0.166 0.333 0.296 Cl
0.166 0.834 0.296 Cl
0.333 0.166 0.704 Cl
0.333 0.667 0.963 Cl
0.667 0.333 0.037 Cl
0.667 0.834 0.296 Cl
0.834 0.166 0.704 Cl
0.834 0.667 0.704 Cl
```

=====

Which formula does entry 2 have?
Rb3Fe2AgCl8